Structure and calculated X-ray powder pattern of MnC4N6 (a DFT-relaxed cell (GGA-PBE, Alexandria); Cu Kα (weighted mean of Kα1 and Kα2)).
Peak positions follow from Bragg's law for the DFT cell and can differ from measured ones.

Atomic structure:
```
MnC4N6
1.0
6.7032 0.0000 0.0000
0.0000 7.3176 0.0000
0.0000 0.0000 7.5558
Mn C N
2 8 12
Direct
0.0000 0.0000 0.0000 Mn
0.5000 0.5000 0.5000 Mn
0.2208 0.1756 0.3492 C
0.2208 0.1756 0.6508 C
0.2792 0.6756 0.1508 C
0.2792 0.6756 0.8492 C
0.7208 0.3244 0.1508 C
0.7208 0.3244 0.8492 C
0.7792 0.8244 0.3492 C
0.7792 0.8244 0.6508 C
0.1737 0.1258 0.2073 N
0.1737 0.1258 0.7927 N
0.2166 0.7414 0.0000 N
0.2834 0.2414 0.5000 N
0.3263 0.6258 0.2927 N
0.3263 0.6258 0.7073 N
0.6737 0.3742 0.2927 N
0.6737 0.3742 0.7073 N
0.7166 0.7586 0.5000 N
0.7834 0.2586 0.0000 N
0.8263 0.8742 0.2073 N
0.8263 0.8742 0.7927 N
```

Peak list (8 most intense, 10° ≤ 2θ ≤ 90°, sorted by position)
16.87 deg, I 50.1, (0 1 1); 17.69 deg, I 67.8, (1 0 1); 17.95 deg, I 100.0, (1 1 0); 21.48 deg, I 40.2, (1 1 1); 27.78 deg, I 43.1, (1 2 0); 30.24 deg, I 23.5, (1 2 1); 31.66 deg, I 28.6, (2 1 1); 36.35 deg, I 26.9, (2 2 0)